[1]
Sr2Li2TbIn5: theoretical powder diffractogram (Cu Kα X-rays), based on a DFT-relaxed cell (PBE, Alexandria).
Kinematic intensities with the Lorentz-polarization factor, no thermal factor.

Principal peaks in the range 2θ from 10° to 80°, low angle first:
two_theta	d_spacing	I (rel.)	hkl
26.85	3.320	40	2 1 1
30.60	2.922	46	2 2 1
32.88	2.724	100	3 1 1
34.72	2.584	40	4 1 0
36.06	2.491	24	3 2 1
37.77	2.382	21	4 2 0
38.90	2.315	30	0 0 2
53.12	1.724	23	4 1 2
55.36	1.659	20	4 2 2
65.10	1.433	26	7 1 1

Crystal structure
```
data_Sr2Li2TbIn5
_cell_length_a 10.652
_cell_length_b 10.652
_cell_length_c 4.631
_cell_angle_alpha 90.00
_cell_angle_beta 90.00
_cell_angle_gamma 90.00
_symmetry_space_group_name_H-M 'P 4/m b m'
_symmetry_Int_Tables_number 127
_symmetry_space_group_name_Hall '-P 4 2ab'
loop_
_atom_site_label
_atom_site_fract_x
_atom_site_fract_y
_atom_site_fract_z
Sr1 0.180 0.320 0.000
Li1 0.114 0.614 0.000
Tb1 0.000 0.000 0.000
In1 0.000 0.500 0.500
In2 0.060 0.790 0.500
```



[2]
SrLiY2In4: theoretical powder diffractogram (Cu Kα X-rays), based on a DFT-relaxed cell (PBE, Alexandria).
Kinematic intensities with the Lorentz-polarization factor, no thermal factor.

Principal peaks in the range 2θ from 10° to 80°, low angle first:
two_theta	d_spacing	I (rel.)	hkl
23.46	3.793	16	1 0 4
25.51	3.491	10	0 1 5
33.07	2.708	98	0 1 8
33.75	2.656	100	1 1 0
47.97	1.896	34	2 0 8
58.65	1.574	15	1 0 16
59.94	1.543	34	1 2 8
60.35	1.534	20	3 0 0
70.96	1.328	14	2 2 0
79.44	1.206	12	2 1 16

Crystal structure
```
data_SrLiY2In4
_cell_length_a 5.3120
_cell_length_b 5.3120
_cell_length_c 26.8050
_cell_angle_alpha 90.00
_cell_angle_beta 90.00
_cell_angle_gamma 120.00
_symmetry_space_group_name_H-M 'R -3 m'
_symmetry_Int_Tables_number 166
_symmetry_space_group_name_Hall '-R 3 2"'
loop_
_atom_site_label
_atom_site_fract_x
_atom_site_fract_y
_atom_site_fract_z
Sr1 0.0000 0.0000 0.0000
Li1 0.0000 0.0000 0.5000
Y1 0.0000 0.0000 0.2452
In1 0.0000 0.0000 0.1278
In2 0.0000 0.0000 0.3830
```



[3]
Li2TaIn: theoretical powder diffractogram (Cu Kα X-rays), based on a DFT-relaxed cell (PBE, Alexandria).
Kinematic intensities with the Lorentz-polarization factor, no thermal factor.

Principal peaks in the range 2θ from 10° to 80°, low angle first:
two_theta	d_spacing	I (rel.)	hkl
14.91	5.941	100	0 0 1
25.48	3.495	67	0 1 1
36.71	2.448	53	0 1 2
38.86	2.318	40	1 1 0
39.03	2.308	51	1 0 1
39.58	2.277	20	1 0 -2
41.79	2.162	18	0 2 0
44.61	2.031	13	0 2 1
50.68	1.801	15	1 0 -3
67.65	1.385	13	1 1 3

Crystal structure
```
data_Li2TaIn
_cell_length_a 2.812
_cell_length_b 4.323
_cell_length_c 6.085
_cell_angle_alpha 90.00
_cell_angle_beta 102.52
_cell_angle_gamma 90.00
_symmetry_space_group_name_H-M 'P 1 m 1'
_symmetry_Int_Tables_number 6
loop_
_symmetry_equiv_pos_as_xyz
'x,y,z'
'x,-y,z'
loop_
_atom_site_label
_atom_site_fract_x
_atom_site_fract_y
_atom_site_fract_z
Li1 0.000 0.000 0.000
Li2 0.247 0.500 0.225
Ta1 0.841 0.000 0.487
In1 0.448 0.500 0.748
```



[4]
Li4Tb3In4: theoretical powder diffractogram (Cu Kα X-rays), based on a DFT-relaxed cell (PBE, Alexandria).
Kinematic intensities with the Lorentz-polarization factor, no thermal factor.

Principal peaks in the range 2θ from 10° to 80°, low angle first:
two_theta	d_spacing	I (rel.)	hkl
17.34	5.115	73	0 0 3
23.15	3.842	66	0 1 2
32.32	2.770	100	1 1 -2
33.15	2.702	67	1 0 -4
33.91	2.644	88	1 1 1
36.46	2.464	73	0 2 -1
37.03	2.428	95	0 1 5
46.70	1.945	24	1 0 -7
50.11	1.820	42	1 2 -5
66.76	1.401	34	2 1 4

Crystal structure
```
data_Li4Tb3In4
_cell_length_a 3.432
_cell_length_b 4.926
_cell_length_c 15.635
_cell_angle_alpha 99.05
_cell_angle_beta 96.29
_cell_angle_gamma 90.00
_symmetry_space_group_name_H-M 'P -1'
_symmetry_Int_Tables_number 2
loop_
_symmetry_equiv_pos_as_xyz
'x,y,z'
'-x,-y,-z'
loop_
_atom_site_label
_atom_site_fract_x
_atom_site_fract_y
_atom_site_fract_z
Li1 0.092 0.092 0.185
Li2 0.239 0.739 0.479
Tb1 0.358 0.358 0.715
Tb2 0.500 0.000 0.000
In1 0.049 0.549 0.099
In2 0.183 0.183 0.367
```



[5]
LiTb3In6: theoretical powder diffractogram (Cu Kα X-rays), based on a DFT-relaxed cell (PBE, Alexandria).
Kinematic intensities with the Lorentz-polarization factor, no thermal factor.

Principal peaks in the range 2θ from 10° to 80°, low angle first:
two_theta	d_spacing	I (rel.)	hkl
21.24	4.184	56	3 0 0
24.57	3.623	20	2 2 0
26.23	3.397	62	2 1 1
32.69	2.739	28	4 1 0
36.25	2.478	100	3 2 1
37.65	2.389	23	0 1 2
39.73	2.269	24	2 0 2
40.43	2.231	30	0 5 1
64.27	1.449	20	5 5 0
67.05	1.396	20	4 1 3

Crystal structure
```
data_LiTb3In6
_cell_length_a 14.4934
_cell_length_b 14.4934
_cell_length_c 4.8671
_cell_angle_alpha 90.00
_cell_angle_beta 90.00
_cell_angle_gamma 120.00
_symmetry_space_group_name_H-M 'R 3 m'
_symmetry_Int_Tables_number 160
_symmetry_space_group_name_Hall 'R 3 -2"'
loop_
_atom_site_label
_atom_site_fract_x
_atom_site_fract_y
_atom_site_fract_z
Li1 0.0000 0.0000 0.0000
Tb1 0.0723 0.5361 0.8058
In1 0.1381 0.0690 0.5003
In2 0.2043 0.4087 0.6541
```



[6]
Li2Tb2TmIn2: theoretical powder diffractogram (Cu Kα X-rays), based on a DFT-relaxed cell (PBE, Alexandria).
Kinematic intensities with the Lorentz-polarization factor, no thermal factor.

Principal peaks in the range 2θ from 10° to 80°, low angle first:
two_theta	d_spacing	I (rel.)	hkl
21.52	4.130	95	1 0 1
31.90	2.805	80	1 0 7
34.56	2.595	100	0 1 8
37.25	2.414	96	1 1 0
43.41	2.084	17	0 2 1
49.83	1.830	27	0 2 7
51.74	1.767	42	2 0 8
63.83	1.458	24	2 1 7
65.48	1.426	61	1 2 8
67.16	1.394	17	3 0 0

Crystal structure
```
data_Li2Tb2TmIn2
_cell_length_a 4.8282
_cell_length_b 4.8282
_cell_length_c 26.4774
_cell_angle_alpha 90.00
_cell_angle_beta 90.00
_cell_angle_gamma 120.00
_symmetry_space_group_name_H-M 'R -3 m'
_symmetry_Int_Tables_number 166
_symmetry_space_group_name_Hall '-R 3 2"'
loop_
_atom_site_label
_atom_site_fract_x
_atom_site_fract_y
_atom_site_fract_z
Li1 0.0000 0.0000 0.1076
Tb1 0.0000 0.0000 0.3732
Tm1 0.0000 0.0000 0.5000
In1 0.0000 0.0000 0.2363
```



[7]
LiIn5Te8: theoretical powder diffractogram (Cu Kα X-rays), based on a DFT-relaxed cell (PBE, Alexandria).
Kinematic intensities with the Lorentz-polarization factor, no thermal factor.

Principal peaks in the range 2θ from 10° to 80°, low angle first:
two_theta	d_spacing	I (rel.)	hkl
12.39	7.145	27	1 1 1
23.85	3.731	33	3 1 1
24.92	3.573	31	2 2 2
28.86	3.094	98	4 0 0
37.77	2.382	29	5 1 1
41.27	2.188	100	4 4 0
51.14	1.786	24	4 4 4
59.78	1.547	15	8 0 0
67.72	1.384	28	8 4 0
75.23	1.263	29	8 4 4

Crystal structure
```
data_LiIn5Te8
_cell_length_a 12.376
_cell_length_b 12.376
_cell_length_c 12.376
_cell_angle_alpha 90.00
_cell_angle_beta 90.00
_cell_angle_gamma 90.00
_symmetry_space_group_name_H-M 'F -4 3 m'
_symmetry_Int_Tables_number 216
_symmetry_space_group_name_Hall 'F -4 2 3'
loop_
_atom_site_label
_atom_site_fract_x
_atom_site_fract_y
_atom_site_fract_z
Li1 0.000 0.000 0.000
In1 0.133 0.133 0.633
In2 0.250 0.250 0.250
Te1 0.115 0.115 0.385
Te2 0.129 0.129 0.871
```



[8]
LiInTe2: theoretical powder diffractogram (Cu Kα X-rays), based on a DFT-relaxed cell (PBE, Alexandria).
Kinematic intensities with the Lorentz-polarization factor, no thermal factor.

Principal peaks in the range 2θ from 10° to 80°, low angle first:
two_theta	d_spacing	I (rel.)	hkl
11.86	7.461	23	0 0 1
22.44	3.962	91	1 0 0
23.85	3.730	32	0 0 2
25.45	3.499	100	1 0 1
32.98	2.716	54	1 0 2
39.39	2.288	66	1 1 0
42.94	2.106	71	0 1 3
46.57	1.950	32	1 1 2
59.67	1.550	26	2 0 3
73.87	1.283	28	1 2 3

Crystal structure
```
data_LiInTe2
_cell_length_a 4.5751
_cell_length_b 4.5751
_cell_length_c 7.4608
_cell_angle_alpha 90.00
_cell_angle_beta 90.00
_cell_angle_gamma 120.00
_symmetry_space_group_name_H-M 'P 3 m 1'
_symmetry_Int_Tables_number 156
loop_
_symmetry_equiv_pos_as_xyz
'x,y,z'
'-y,x-y,z'
'-x+y,-x,z'
'-y,-x,z'
'-x+y,y,z'
'x,x-y,z'
loop_
_atom_site_label
_atom_site_fract_x
_atom_site_fract_y
_atom_site_fract_z
Li1 0.0000 0.0000 0.0000
In1 0.6667 0.3333 0.5715
Te1 0.0000 0.0000 0.3981
Te2 0.6667 0.3333 0.9355
```